[1]
For AgPd4Au6, a structure optimized by DFT (GGA-PBE) gives the calculated X-ray powder pattern in this record (Cu Kα, 1.54184 Å).
Kinematic intensities with the Lorentz-polarization factor, no thermal factor.

Structural model:
```
AgPd4Au6
1.0
-2.695 2.695 7.077
2.695 -2.695 7.077
2.695 2.695 -7.077
Ag Pd Au
1 4 6
direct
0.000 0.000 0.000 Ag
0.026 0.639 0.000 Pd
0.361 0.361 0.387 Pd
0.639 0.026 0.000 Pd
0.974 0.974 0.613 Pd
0.000 0.500 0.500 Au
0.170 0.170 0.622 Au
0.452 0.830 0.000 Au
0.500 0.000 0.500 Au
0.548 0.548 0.378 Au
0.830 0.452 0.000 Au
```

Main lines, low angle first (10 to 90 degrees two-theta):
| Position (°2θ) | I_rel |
| --- | --- |
| 25.1 | 24 |
| 26.6 | 48 |
| 34.6 | 19 |
| 35.6 | 64 |
| 37.9 | 74 |
| 38.2 | 41 |
| 42.1 | 100 |
| 47.7 | 31 |
| 49.7 | 41 |
| 62.7 | 21 |
| 72.6 | 22 |
| 81.0 | 22 |

[2]
For Ag2Pd5Au4, a structure optimized by DFT (GGA-PBE) gives the calculated X-ray powder pattern in this record (Cu Kα, 1.54184 Å).
Kinematic intensities with the Lorentz-polarization factor, no thermal factor.

Structural model:
```
Ag2Pd5Au4
1.0
4.951 0.000 0.000
0.863 4.918 0.000
0.820 -0.126 7.551
Ag Pd Au
2 5 4
direct
0.092 0.315 0.136 Ag
0.908 0.685 0.864 Ag
0.000 0.500 0.500 Pd
0.270 0.953 0.411 Pd
0.364 0.773 0.047 Pd
0.636 0.227 0.953 Pd
0.730 0.047 0.589 Pd
0.183 0.135 0.770 Au
0.460 0.590 0.682 Au
0.540 0.410 0.318 Au
0.817 0.865 0.230 Au
```

Main lines, low angle first (10 to 90 degrees two-theta):
| Position (°2θ) | I_rel |
| --- | --- |
| 38.3 | 34 |
| 38.4 | 100 |
| 44.4 | 22 |
| 44.6 | 22 |
| 44.9 | 21 |
| 64.7 | 7 |
| 64.9 | 14 |
| 65.1 | 14 |
| 77.8 | 13 |
| 78.1 | 13 |
| 78.5 | 8 |
| 82.4 | 11 |

[3]
For Ag10PdAu6, a structure optimized by DFT (GGA-PBE) gives the calculated X-ray powder pattern in this record (Cu Kα, 1.54184 Å).
Kinematic intensities with the Lorentz-polarization factor, no thermal factor.

Structural model:
```
Ag10PdAu6
1.0
7.997 0.000 0.000
-3.998 6.925 0.000
0.000 0.000 5.684
Ag Pd Au
10 1 6
direct
0.000 0.312 0.346 Ag
0.000 0.688 0.654 Ag
0.312 0.000 0.346 Ag
0.312 0.312 0.654 Ag
0.333 0.667 0.000 Ag
0.333 0.667 0.500 Ag
0.667 0.333 0.000 Ag
0.667 0.333 0.500 Ag
0.688 0.000 0.654 Ag
0.688 0.688 0.346 Ag
0.000 0.000 0.000 Pd
0.000 0.338 0.842 Au
0.000 0.662 0.158 Au
0.338 0.000 0.842 Au
0.338 0.338 0.158 Au
0.662 0.000 0.158 Au
0.662 0.662 0.842 Au
```

Main lines, low angle first (10 to 90 degrees two-theta):
| Position (°2θ) | I_rel |
| --- | --- |
| 15.6 | 7 |
| 22.2 | 9 |
| 27.3 | 12 |
| 38.9 | 100 |
| 39.0 | 93 |
| 42.3 | 4 |
| 56.3 | 32 |
| 63.7 | 3 |
| 70.3 | 16 |
| 70.6 | 46 |
| 83.5 | 10 |
| 83.8 | 9 |

[4]
For Ag3Pd2Au4, a structure optimized by DFT (GGA-PBE) gives the calculated X-ray powder pattern in this record (Cu Kα, 1.54184 Å).
Kinematic intensities with the Lorentz-polarization factor, no thermal factor.

Structural model:
```
Ag3Pd2Au4
1.0
6.190 -2.083 0.000
6.190 2.083 0.000
-1.996 0.000 6.046
Ag Pd Au
3 2 4
direct
0.000 0.000 0.000 Ag
0.113 0.113 0.671 Ag
0.887 0.887 0.329 Ag
0.334 0.334 0.999 Pd
0.666 0.666 0.001 Pd
0.223 0.223 0.326 Au
0.445 0.445 0.670 Au
0.555 0.555 0.330 Au
0.777 0.777 0.674 Au
```

Main lines, low angle first (10 to 90 degrees two-theta):
| Position (°2θ) | I_rel |
| --- | --- |
| 37.8 | 100 |
| 38.1 | 98 |
| 43.4 | 34 |
| 43.9 | 33 |
| 45.0 | 30 |
| 63.5 | 22 |
| 64.3 | 31 |
| 76.0 | 13 |
| 76.2 | 13 |
| 76.4 | 13 |
| 77.0 | 12 |
| 78.0 | 12 |

[5]
For Ag2Pd2Au5, a structure optimized by DFT (GGA-PBE) gives the calculated X-ray powder pattern in this record (Cu Kα, 1.54184 Å).
Kinematic intensities with the Lorentz-polarization factor, no thermal factor.

Structural model:
```
Ag2Pd2Au5
1.0
8.419 0.000 0.000
0.000 2.326 4.077
0.000 -2.326 4.077
Ag Pd Au
2 2 5
direct
0.000 0.000 0.000 Ag
0.500 0.334 0.334 Ag
0.169 0.666 0.666 Pd
0.831 0.666 0.666 Pd
0.166 0.334 0.334 Au
0.330 0.000 0.000 Au
0.500 0.666 0.666 Au
0.670 0.000 0.000 Au
0.834 0.334 0.334 Au
```

Main lines, low angle first (10 to 90 degrees two-theta):
| Position (°2θ) | I_rel |
| --- | --- |
| 38.4 | 100 |
| 38.7 | 49 |
| 39.0 | 44 |
| 39.1 | 88 |
| 55.7 | 16 |
| 56.1 | 30 |
| 69.7 | 15 |
| 69.9 | 33 |
| 70.3 | 16 |
| 79.6 | 24 |
| 79.8 | 12 |
| 82.1 | 11 |

[6]
For Ag14PdAu, a structure optimized by DFT (GGA-PBE) gives the calculated X-ray powder pattern in this record (Cu Kα, 1.54184 Å).
Kinematic intensities with the Lorentz-polarization factor, no thermal factor.

Structural model:
```
Ag14PdAu
1.0
9.587 0.000 0.000
0.000 2.910 5.095
0.000 -2.910 5.095
Ag Pd Au
14 1 1
direct
0.000 0.000 0.000 Ag
0.000 0.000 0.500 Ag
0.000 0.500 0.000 Ag
0.000 0.500 0.500 Ag
0.249 0.334 0.334 Ag
0.250 0.834 0.834 Ag
0.252 0.336 0.833 Ag
0.252 0.833 0.336 Ag
0.500 0.168 0.668 Ag
0.500 0.668 0.168 Ag
0.748 0.336 0.833 Ag
0.748 0.833 0.336 Ag
0.750 0.834 0.834 Ag
0.751 0.334 0.334 Ag
0.500 0.669 0.669 Pd
0.500 0.169 0.169 Au
```

Main lines, low angle first (10 to 90 degrees two-theta):
| Position (°2θ) | I_rel |
| --- | --- |
| 36.5 | 25 |
| 36.8 | 50 |
| 37.5 | 57 |
| 40.1 | 53 |
| 40.3 | 100 |
| 45.5 | 13 |
| 45.8 | 27 |
| 63.4 | 23 |
| 69.6 | 19 |
| 76.1 | 27 |
| 76.6 | 13 |
| 78.2 | 14 |

[7]
For Ag12PdAu7, a structure optimized by DFT (GGA-PBE) gives the calculated X-ray powder pattern in this record (Cu Kα, 1.54184 Å).
Kinematic intensities with the Lorentz-polarization factor, no thermal factor.

Structural model:
```
Ag12PdAu7
1.0
5.811 3.355 3.146
-5.811 3.355 3.146
0.000 -6.710 3.146
Ag Pd Au
12 1 7
direct
0.028 0.260 0.761 Ag
0.144 0.422 0.193 Ag
0.193 0.144 0.422 Ag
0.239 0.972 0.740 Ag
0.260 0.761 0.028 Ag
0.422 0.193 0.144 Ag
0.578 0.807 0.856 Ag
0.740 0.239 0.972 Ag
0.761 0.028 0.260 Ag
0.807 0.856 0.578 Ag
0.856 0.578 0.807 Ag
0.972 0.740 0.239 Ag
0.500 0.500 0.500 Pd
0.000 0.000 0.000 Au
0.185 0.565 0.624 Au
0.376 0.815 0.435 Au
0.435 0.376 0.815 Au
0.565 0.624 0.185 Au
0.624 0.185 0.565 Au
0.815 0.435 0.376 Au
```

Main lines, low angle first (10 to 90 degrees two-theta):
| Position (°2θ) | I_rel |
| --- | --- |
| 20.0 | 16 |
| 32.4 | 12 |
| 37.0 | 69 |
| 37.4 | 63 |
| 39.2 | 100 |
| 40.2 | 37 |
| 40.6 | 33 |
| 41.1 | 25 |
| 42.3 | 28 |
| 43.6 | 35 |
| 68.1 | 15 |
| 74.1 | 12 |

[8]
For Ag7Pd4Au, a structure optimized by DFT (GGA-PBE) gives the calculated X-ray powder pattern in this record (Cu Kα, 1.54184 Å).
Kinematic intensities with the Lorentz-polarization factor, no thermal factor.

Structural model:
```
Ag7Pd4Au
1.0
4.980 0.000 0.000
0.025 5.777 0.000
2.451 1.362 7.075
Ag Pd Au
7 4 1
direct
0.000 0.000 0.000 Ag
0.004 0.836 0.663 Ag
0.495 0.417 0.337 Ag
0.497 0.752 0.001 Ag
0.503 0.248 0.999 Ag
0.505 0.583 0.663 Ag
0.996 0.164 0.337 Ag
0.000 0.333 0.668 Pd
0.000 0.667 0.332 Pd
0.500 0.085 0.665 Pd
0.500 0.915 0.335 Pd
0.000 0.500 0.000 Au
```

Main lines, low angle first (10 to 90 degrees two-theta):
| Position (°2θ) | I_rel |
| --- | --- |
| 38.2 | 100 |
| 38.3 | 33 |
| 44.0 | 22 |
| 44.6 | 43 |
| 64.4 | 7 |
| 64.4 | 7 |
| 64.5 | 7 |
| 64.9 | 7 |
| 77.0 | 8 |
| 77.2 | 8 |
| 77.9 | 20 |
| 78.0 | 8 |

[9]
For AgPd8Au2, a structure optimized by DFT (GGA-PBE) gives the calculated X-ray powder pattern in this record (Cu Kα, 1.54184 Å).
Kinematic intensities with the Lorentz-polarization factor, no thermal factor.

Structural model:
```
AgPd8Au2
1.0
4.087 -5.491 0.000
4.087 5.491 0.000
0.000 0.000 4.216
Ag Pd Au
1 8 2
direct
0.000 0.000 0.000 Ag
0.037 0.302 0.500 Pd
0.239 0.761 0.000 Pd
0.302 0.037 0.500 Pd
0.330 0.330 0.000 Pd
0.670 0.670 0.000 Pd
0.698 0.963 0.500 Pd
0.761 0.239 0.000 Pd
0.963 0.698 0.500 Pd
0.377 0.623 0.500 Au
0.623 0.377 0.500 Au
```

Main lines, low angle first (10 to 90 degrees two-theta):
| Position (°2θ) | I_rel |
| --- | --- |
| 21.7 | 17 |
| 39.2 | 100 |
| 40.3 | 84 |
| 41.3 | 38 |
| 42.9 | 39 |
| 53.6 | 18 |
| 61.1 | 23 |
| 71.0 | 16 |
| 73.1 | 13 |
| 76.1 | 14 |
| 76.8 | 12 |
| 82.2 | 23 |

[10]
For AgPd5Au6, a structure optimized by DFT (GGA-PBE) gives the calculated X-ray powder pattern in this record (Cu Kα, 1.54184 Å).
Kinematic intensities with the Lorentz-polarization factor, no thermal factor.

Structural model:
```
AgPd5Au6
1.0
-2.051 4.039 6.099
2.051 -4.039 6.099
2.051 4.039 -6.099
Ag Pd Au
1 5 6
direct
0.000 0.000 0.000 Ag
0.166 0.666 0.500 Pd
0.332 0.332 0.000 Pd
0.500 0.000 0.500 Pd
0.668 0.668 0.000 Pd
0.834 0.334 0.500 Pd
0.085 0.832 0.252 Au
0.254 0.500 0.754 Au
0.420 0.168 0.252 Au
0.580 0.832 0.748 Au
0.746 0.500 0.246 Au
0.915 0.168 0.748 Au
```

Main lines, low angle first (10 to 90 degrees two-theta):
| Position (°2θ) | I_rel |
| --- | --- |
| 22.0 | 8 |
| 38.3 | 100 |
| 44.2 | 17 |
| 44.6 | 16 |
| 44.9 | 16 |
| 64.5 | 11 |
| 64.8 | 11 |
| 65.1 | 11 |
| 77.3 | 13 |
| 77.9 | 13 |
| 78.4 | 12 |
| 82.0 | 11 |

[11]
For Ag6Pd2Au3, a structure optimized by DFT (GGA-PBE) gives the calculated X-ray powder pattern in this record (Cu Kα, 1.54184 Å).
Kinematic intensities with the Lorentz-polarization factor, no thermal factor.

Structural model:
```
Ag6Pd2Au3
1.0
5.001 0.000 0.000
-1.710 6.297 0.000
-0.911 -2.265 6.064
Ag Pd Au
6 2 3
direct
0.088 0.361 0.319 Ag
0.183 0.729 0.141 Ag
0.276 0.091 0.954 Ag
0.724 0.909 0.046 Ag
0.817 0.271 0.859 Ag
0.912 0.639 0.681 Ag
0.457 0.819 0.590 Pd
0.543 0.181 0.410 Pd
0.000 0.000 0.500 Au
0.367 0.459 0.770 Au
0.633 0.541 0.230 Au
```

Main lines, low angle first (10 to 90 degrees two-theta):
| Position (°2θ) | I_rel |
| --- | --- |
| 37.8 | 34 |
| 38.0 | 100 |
| 43.8 | 44 |
| 44.6 | 21 |
| 63.5 | 7 |
| 63.8 | 7 |
| 64.1 | 7 |
| 64.3 | 14 |
| 76.5 | 12 |
| 76.7 | 12 |
| 77.8 | 8 |
| 81.1 | 7 |

[12]
For Ag4Pd3Au4, a structure optimized by DFT (GGA-PBE) gives the calculated X-ray powder pattern in this record (Cu Kα, 1.54184 Å).
Kinematic intensities with the Lorentz-polarization factor, no thermal factor.

Structural model:
```
Ag4Pd3Au4
1.0
8.142 0.000 0.000
0.000 2.026 6.052
0.000 -2.026 6.052
Ag Pd Au
4 3 4
direct
0.000 0.000 0.000 Ag
0.246 0.498 0.498 Ag
0.500 0.997 0.997 Ag
0.754 0.498 0.498 Ag
0.245 0.828 0.828 Pd
0.500 0.666 0.666 Pd
0.755 0.828 0.828 Pd
0.000 0.324 0.324 Au
0.247 0.164 0.164 Au
0.500 0.330 0.330 Au
0.753 0.164 0.164 Au
```

Main lines, low angle first (10 to 90 degrees two-theta):
| Position (°2θ) | I_rel |
| --- | --- |
| 23.2 | 12 |
| 38.5 | 100 |
| 44.5 | 16 |
| 44.7 | 16 |
| 44.9 | 16 |
| 64.9 | 11 |
| 65.1 | 10 |
| 65.3 | 11 |
| 77.9 | 12 |
| 78.3 | 12 |
| 78.5 | 12 |
| 82.4 | 11 |

[13]
For Ag6Pd4Au, a structure optimized by DFT (GGA-PBE) gives the calculated X-ray powder pattern in this record (Cu Kα, 1.54184 Å).
Kinematic intensities with the Lorentz-polarization factor, no thermal factor.

Structural model:
```
Ag6Pd4Au
1.0
-2.703 2.703 7.052
2.703 -2.703 7.052
2.703 2.703 -7.052
Ag Pd Au
6 4 1
direct
0.000 0.500 0.500 Ag
0.047 0.669 0.000 Ag
0.331 0.331 0.377 Ag
0.500 0.000 0.500 Ag
0.669 0.047 0.000 Ag
0.953 0.953 0.623 Ag
0.143 0.143 0.618 Pd
0.475 0.857 0.000 Pd
0.525 0.525 0.382 Pd
0.857 0.475 0.000 Pd
0.500 0.500 0.000 Au
```

Main lines, low angle first (10 to 90 degrees two-theta):
| Position (°2θ) | I_rel |
| --- | --- |
| 17.6 | 29 |
| 25.1 | 16 |
| 35.6 | 76 |
| 35.9 | 17 |
| 37.8 | 79 |
| 38.3 | 46 |
| 42.1 | 100 |
| 47.6 | 31 |
| 49.7 | 38 |
| 62.6 | 22 |
| 72.4 | 21 |
| 80.8 | 19 |